The following is a computed powder X-ray diffraction pattern of ScCo4Sn4Ge2. It was derived from a crystal structure in OQMD, relaxed with PBE, using copper Kα.

Principal peaks in the range 10° ≤ 2θ ≤ 80°, low angle first:
16.82°, d = 5.271 Å, rel. 28.5; 27.33°, d = 3.263 Å, rel. 25.3; 33.04°, d = 2.711 Å, rel. 100.0; 34.01°, d = 2.636 Å, rel. 50.8; 40.34°, d = 2.236 Å, rel. 32.5; 42.78°, d = 2.114 Å, rel. 90.8; 42.97°, d = 2.105 Å, rel. 70.8; 43.99°, d = 2.058 Å, rel. 33.5; 45.35°, d = 2.000 Å, rel. 39.7; 56.40°, d = 1.631 Å, rel. 27.5; 67.84°, d = 1.382 Å, rel. 33.2; 78.66°, d = 1.216 Å, rel. 26.2

Cell and atoms:
a b c (Å): 6.5393 6.5393 6.5393
angles (deg): 122.17 122.17 86.28
Fractional positions:
Sc 0.0000 0.0000 0.0000
Co 0.2508 0.2508 0.6325
Co 0.3817 0.7492 0.0000
Co 0.6183 0.6183 0.3674
Co 0.7492 0.3817 0.0000
Sn 0.1165 0.4623 0.0000
Sn 0.4623 0.1165 0.0000
Sn 0.5377 0.5377 0.6542
Sn 0.8835 0.8835 0.3458
Ge 0.0000 0.5000 0.5000
Ge 0.5000 0.0000 0.5000